1.
MgCu2Sn: calculated powder XRD pattern (λ = 1.5418 Å (Cu Kα)), based on a DFT-relaxed cell (GGA-PBE, OQMD).

Most intense lines, 2θ from 10° to 90°, by angle:
- (1 0 0), 13.77 deg, intensity 10
- (1 1 1), 23.97 deg, intensity 7
- (2 1 0), 31.10 deg, intensity 17
- (2 2 0), 39.64 deg, intensity 100
- (3 0 0), 42.16 deg, intensity 7
- (4 0 0), 57.31 deg, intensity 16
- (3 2 2), 59.25 deg, intensity 6
- (4 2 1), 66.65 deg, intensity 4
- (4 2 2), 71.93 deg, intensity 31
- (4 4 0), 85.40 deg, intensity 10

Structure:
```
data_MgCu2Sn
_cell_length_a 6.431
_cell_length_b 6.431
_cell_length_c 6.431
_cell_angle_alpha 90.00
_cell_angle_beta 90.00
_cell_angle_gamma 90.00
_symmetry_space_group_name_H-M 'P m -3 m'
_symmetry_Int_Tables_number 221
_symmetry_space_group_name_Hall '-P 4 2 3'
loop_
_atom_site_label
_atom_site_type_symbol
_atom_site_fract_x
_atom_site_fract_y
_atom_site_fract_z
Mg1 Mg 0.000 0.000 0.000
Mg2 Mg 0.000 0.000 0.500
Cu1 Cu 0.237 0.237 0.237
Sn1 Sn 0.000 0.500 0.500
Sn2 Sn 0.500 0.500 0.500
```

2.
MgCu2SnTe4: calculated powder XRD pattern (λ = 1.5418 Å (Cu Kα)), based on a DFT-relaxed cell (GGA-PBE, OQMD).

Most intense lines, 2θ from 10° to 90°, by angle:
- (1 1 1), 24.70 deg, intensity 100
- (2 2 0), 40.80 deg, intensity 25
- (2 0 2), 40.92 deg, intensity 45
- (3 1 1), 48.28 deg, intensity 32
- (1 1 3), 48.49 deg, intensity 13
- (4 0 0), 59.07 deg, intensity 8
- (3 3 1), 65.00 deg, intensity 6
- (3 1 3), 65.18 deg, intensity 10
- (4 2 2), 74.36 deg, intensity 15
- (5 1 1), 79.65 deg, intensity 7

Structure:
```
data_MgCu2SnTe4
_cell_length_a 6.256
_cell_length_b 6.256
_cell_length_c 6.220
_cell_angle_alpha 90.00
_cell_angle_beta 90.00
_cell_angle_gamma 90.00
_symmetry_space_group_name_H-M 'P -4 2 m'
_symmetry_Int_Tables_number 111
loop_
_symmetry_equiv_pos_as_xyz
'x,y,z'
'y,-x,-z'
'-x,-y,z'
'-y,x,-z'
'x,-y,-z'
'y,x,z'
'-x,y,-z'
'-y,-x,z'
loop_
_atom_site_label
_atom_site_type_symbol
_atom_site_fract_x
_atom_site_fract_y
_atom_site_fract_z
Mg1 Mg 0.000 0.000 0.000
Cu1 Cu 0.000 0.500 0.500
Sn1 Sn 0.500 0.500 0.000
Te1 Te 0.246 0.246 0.281
```

3.
MgTlCuW: calculated powder XRD pattern (λ = 1.5418 Å (Cu Kα)), based on a DFT-relaxed cell (GGA-PBE, OQMD).

Most intense lines, 2θ from 10° to 90°, by angle:
- (1 1 1), 23.50 deg, intensity 2
- (2 0 0), 27.20 deg, intensity 45
- (2 2 0), 38.85 deg, intensity 100
- (3 1 1), 45.90 deg, intensity 1
- (2 2 2), 48.07 deg, intensity 13
- (4 0 0), 56.11 deg, intensity 17
- (4 2 0), 63.44 deg, intensity 18
- (4 2 2), 70.34 deg, intensity 35
- (4 4 0), 83.38 deg, intensity 11
- (6 0 0), 89.73 deg, intensity 10

Structure:
```
data_MgTlCuW
_cell_length_a 6.557
_cell_length_b 6.557
_cell_length_c 6.557
_cell_angle_alpha 90.00
_cell_angle_beta 90.00
_cell_angle_gamma 90.00
_symmetry_space_group_name_H-M 'F -4 3 m'
_symmetry_Int_Tables_number 216
_symmetry_space_group_name_Hall 'F -4 2 3'
loop_
_atom_site_label
_atom_site_type_symbol
_atom_site_fract_x
_atom_site_fract_y
_atom_site_fract_z
Mg1 Mg 0.000 0.000 0.000
Tl1 Tl 0.250 0.250 0.250
Cu1 Cu 0.000 0.000 0.500
W1 W 0.250 0.250 0.750
```

4.
Mg2ZnCu5: calculated powder XRD pattern (λ = 1.5418 Å (Cu Kα)), based on a DFT-relaxed cell (GGA-PBE, OQMD).

Most intense lines, 2θ from 10° to 90°, by angle:
- (1 0 1), 25.78 deg, intensity 9
- (1 1 0), 29.85 deg, intensity 4
- (2 0 0), 42.72 deg, intensity 100
- (2 1 1), 50.57 deg, intensity 4
- (2 0 2), 52.98 deg, intensity 1
- (2 2 0), 62.01 deg, intensity 15
- (3 0 1), 68.29 deg, intensity 2
- (3 1 0), 70.32 deg, intensity 1
- (3 1 2), 78.23 deg, intensity 29
- (3 2 1), 84.00 deg, intensity 1

Structure:
```
data_Mg2ZnCu5
_cell_length_a 4.232
_cell_length_b 4.232
_cell_length_c 5.990
_cell_angle_alpha 90.00
_cell_angle_beta 90.00
_cell_angle_gamma 90.00
_symmetry_space_group_name_H-M 'P 4/m m m'
_symmetry_Int_Tables_number 123
_symmetry_space_group_name_Hall '-P 4 2'
loop_
_atom_site_label
_atom_site_type_symbol
_atom_site_fract_x
_atom_site_fract_y
_atom_site_fract_z
Mg1 Mg 0.000 0.000 0.000
Mg2 Mg 0.500 0.500 0.500
Zn1 Zn 0.000 0.000 0.500
Cu1 Cu 0.000 0.500 0.248
Cu2 Cu 0.500 0.500 0.000
```